[1]
Theoretical X-ray powder pattern
Compound: PrEuMnWO6
Radiation: a wavelength of 1.5418 Å
Structure: a structure optimized by DFT (GGA+U)
Neutral-atom scattering factors, no anomalous dispersion.

Structural model:
```
data_PrEuMnWO6
_chemical_formula_sum 'Pr4 Eu4 Mn4 W4 O24'
_cell_length_a 8.142
_cell_length_b 8.142
_cell_length_c 8.142
_cell_angle_alpha 90.00
_cell_angle_beta 90.00
_cell_angle_gamma 90.00
_space_group_name_H-M_alt 'F -4 3 m'
_space_group_IT_number 216
_space_group_name_Hall 'F -4 2 3'
loop_
_atom_site_label
_atom_site_type_symbol
_atom_site_fract_x
_atom_site_fract_y
_atom_site_fract_z
Pr1 Pr 0.000 0.000 0.000
Eu1 Eu 0.000 0.000 0.500
Mn1 Mn 0.250 0.250 0.750
W1 W 0.250 0.250 0.250
O1 O 0.007 0.250 0.250
```

Main lines, in order of rising 2θ (5° ≤ 2θ ≤ 70°):
18.88 deg, 4.701 Å, intensity 14.7; 31.07 deg, 2.879 Å, intensity 100.0; 36.60 deg, 2.455 Å, intensity 8.0; 38.29 deg, 2.350 Å, intensity 3.7; 44.51 deg, 2.036 Å, intensity 29.1; 48.75 deg, 1.868 Å, intensity 3.4; 55.27 deg, 1.662 Å, intensity 40.0; 58.94 deg, 1.567 Å, intensity 3.1; 64.77 deg, 1.439 Å, intensity 17.9; 68.13 deg, 1.376 Å, intensity 3.1

***

[2]
Theoretical X-ray powder pattern
Compound: Eu2MnRhO6
Radiation: a wavelength of 1.5418 Å
Structure: a structure optimized by DFT (GGA+U)
Neutral-atom scattering factors, no anomalous dispersion.

Structural model:
```
data_Eu2MnRhO6
_chemical_formula_sum 'Eu4 Mn2 Rh2 O12'
_cell_length_a 5.544
_cell_length_b 5.755
_cell_length_c 9.434
_cell_angle_alpha 90.00
_cell_angle_beta 125.29
_cell_angle_gamma 90.00
_space_group_name_H-M_alt 'P 1 21/c 1'
_space_group_IT_number 14
loop_
_space_group_symop_operation_xyz
'x,y,z'
'-x,-y,-z'
'-x,y+1/2,-z+1/2'
'x,-y+1/2,z+1/2'
loop_
_atom_site_label
_atom_site_type_symbol
_atom_site_fract_x
_atom_site_fract_y
_atom_site_fract_z
Eu1 Eu 0.236 0.059 0.250
Mn1 Mn 0.500 0.000 0.000
Rh1 Rh 0.000 0.000 0.500
O1 O 0.146 0.202 0.952
O2 O 0.253 0.697 0.952
O3 O 0.351 0.029 0.755
```

Main lines, in order of rising 2θ (5° ≤ 2θ ≤ 70°):
25.03 deg, 3.557 Å, intensity 13.1; 31.08 deg, 2.878 Å, intensity 42.2; 32.16 deg, 2.784 Å, intensity 100.0; 32.30 deg, 2.772 Å, intensity 51.3; 32.45 deg, 2.759 Å, intensity 96.0; 33.24 deg, 2.696 Å, intensity 17.9; 45.43 deg, 1.996 Å, intensity 41.1; 47.19 deg, 1.926 Å, intensity 35.2; 51.81 deg, 1.765 Å, intensity 25.6; 57.33 deg, 1.607 Å, intensity 22.8; 57.61 deg, 1.600 Å, intensity 16.9; 57.87 deg, 1.593 Å, intensity 21.9

***

[3]
Theoretical X-ray powder pattern
Compound: Eu2MnSbO7
Radiation: a wavelength of 1.5418 Å
Structure: a structure optimized by DFT (GGA+U)
Neutral-atom scattering factors, no anomalous dispersion.

Structural model:
```
data_Eu2MnSbO7
_chemical_formula_sum 'Eu8 Mn4 Sb4 O28'
_cell_length_a 7.373
_cell_length_b 7.398
_cell_length_c 10.396
_cell_angle_alpha 90.00
_cell_angle_beta 90.00
_cell_angle_gamma 90.00
_space_group_name_H-M_alt 'I m m a'
_space_group_IT_number 74
_space_group_name_Hall '-I 2b 2'
loop_
_atom_site_label
_atom_site_type_symbol
_atom_site_fract_x
_atom_site_fract_y
_atom_site_fract_z
Eu1 Eu 0.000 0.000 0.000
Eu2 Eu 0.250 0.250 0.250
Mn1 Mn 0.250 0.250 0.750
Sb1 Sb 0.000 0.000 0.500
O1 O 0.000 0.250 0.125
O2 O 0.000 0.250 0.423
O3 O 0.000 0.250 0.825
O4 O 0.201 0.050 0.625
```

Main lines, in order of rising 2θ (5° ≤ 2θ ≤ 70°):
14.70 deg, 6.027 Å, intensity 7.8; 29.68 deg, 3.010 Å, intensity 100.0; 34.34 deg, 2.611 Å, intensity 21.9; 34.51 deg, 2.599 Å, intensity 10.8; 37.63 deg, 2.390 Å, intensity 6.2; 49.27 deg, 1.850 Å, intensity 7.7; 49.47 deg, 1.842 Å, intensity 38.1; 58.60 deg, 1.575 Å, intensity 14.2; 58.71 deg, 1.573 Å, intensity 14.2; 58.88 deg, 1.569 Å, intensity 14.0; 61.54 deg, 1.507 Å, intensity 5.2; 61.69 deg, 1.504 Å, intensity 5.1

***

[4]
Theoretical X-ray powder pattern
Compound: Eu2Mn3Sb3O14
Radiation: a wavelength of 1.5418 Å
Structure: a structure optimized by DFT (GGA+U)
Neutral-atom scattering factors, no anomalous dispersion.

Structural model:
```
data_Eu2Mn3Sb3O14
_chemical_formula_sum 'Eu4 Mn6 Sb6 O28'
_cell_length_a 12.530
_cell_length_b 7.277
_cell_length_c 7.352
_cell_angle_alpha 90.00
_cell_angle_beta 124.69
_cell_angle_gamma 90.00
_space_group_name_H-M_alt 'C 1 2/m 1'
_space_group_IT_number 12
loop_
_space_group_symop_operation_xyz
'x,y,z'
'-x,-y,-z'
'-x,y,-z'
'x,-y,z'
'x+1/2,y+1/2,z'
'-x+1/2,-y+1/2,-z'
'-x+1/2,y+1/2,-z'
'x+1/2,-y+1/2,z'
loop_
_atom_site_label
_atom_site_type_symbol
_atom_site_fract_x
_atom_site_fract_y
_atom_site_fract_z
Eu1 Eu 0.000 0.000 0.000
Eu2 Eu 0.000 0.000 0.500
Mn1 Mn 0.000 0.500 0.000
Mn2 Mn 0.250 0.250 0.500
Sb1 Sb 0.000 0.500 0.500
Sb2 Sb 0.250 0.250 0.000
O1 O 0.075 0.500 0.326
O2 O 0.124 0.302 0.072
O3 O 0.127 0.296 0.675
O4 O 0.140 0.000 0.389
O5 O 0.170 0.000 0.921
```

Main lines, in order of rising 2θ (5° ≤ 2θ ≤ 70°):
14.94 deg, 5.930 Å, intensity 23.9; 29.55 deg, 3.022 Å, intensity 53.7; 30.07 deg, 2.972 Å, intensity 100.0; 30.17 deg, 2.962 Å, intensity 50.1; 34.69 deg, 2.586 Å, intensity 41.2; 34.83 deg, 2.576 Å, intensity 20.4; 49.59 deg, 1.838 Å, intensity 48.4; 50.14 deg, 1.819 Å, intensity 15.6; 50.38 deg, 1.811 Å, intensity 30.9; 58.74 deg, 1.572 Å, intensity 15.5; 59.28 deg, 1.559 Å, intensity 14.2; 59.50 deg, 1.554 Å, intensity 28.2

***

[5]
Theoretical X-ray powder pattern
Compound: SmEuMn4O12
Radiation: a wavelength of 1.5418 Å
Structure: a structure optimized by DFT (GGA+U)
Neutral-atom scattering factors, no anomalous dispersion.

Structural model:
```
data_SmEuMn4O12
_chemical_formula_sum 'Sm1 Eu1 Mn4 O12'
_cell_length_a 5.566
_cell_length_b 5.566
_cell_length_c 7.860
_cell_angle_alpha 90.00
_cell_angle_beta 90.00
_cell_angle_gamma 90.00
_space_group_name_H-M_alt 'P 4/m m m'
_space_group_IT_number 123
_space_group_name_Hall '-P 4 2'
loop_
_atom_site_label
_atom_site_type_symbol
_atom_site_fract_x
_atom_site_fract_y
_atom_site_fract_z
Sm1 Sm 0.000 0.000 0.000
Eu1 Eu 0.500 0.500 0.500
Mn1 Mn 0.000 0.500 0.250
O1 O 0.000 0.500 0.000
O2 O 0.000 0.500 0.500
O3 O 0.249 0.249 0.249
```

Main lines, in order of rising 2θ (5° ≤ 2θ ≤ 70°):
19.54 deg, 4.542 Å, intensity 98.3; 32.18 deg, 2.782 Å, intensity 100.0; 37.93 deg, 2.372 Å, intensity 55.4; 39.69 deg, 2.271 Å, intensity 13.2; 46.15 deg, 1.967 Å, intensity 42.7; 50.57 deg, 1.805 Å, intensity 24.2; 57.38 deg, 1.606 Å, intensity 38.4; 61.22 deg, 1.514 Å, intensity 18.2; 67.33 deg, 1.391 Å, intensity 24.3

***

[6]
Theoretical X-ray powder pattern
Compound: SrEuZrMnO6
Radiation: a wavelength of 1.5418 Å
Structure: a structure optimized by DFT (GGA+U)
Neutral-atom scattering factors, no anomalous dispersion.

Structural model:
```
data_SrEuZrMnO6
_chemical_formula_sum 'Sr4 Eu4 Zr4 Mn4 O24'
_cell_length_a 8.055
_cell_length_b 8.055
_cell_length_c 8.055
_cell_angle_alpha 90.00
_cell_angle_beta 90.00
_cell_angle_gamma 90.00
_space_group_name_H-M_alt 'F -4 3 m'
_space_group_IT_number 216
_space_group_name_Hall 'F -4 2 3'
loop_
_atom_site_label
_atom_site_type_symbol
_atom_site_fract_x
_atom_site_fract_y
_atom_site_fract_z
Sr1 Sr 0.000 0.000 0.000
Eu1 Eu 0.000 0.000 0.500
Zr1 Zr 0.250 0.250 0.250
Mn1 Mn 0.250 0.250 0.750
O1 O 0.009 0.250 0.750
```

Main lines, in order of rising 2θ (5° ≤ 2θ ≤ 70°):
19.08 deg, 4.650 Å, intensity 8.6; 22.07 deg, 4.027 Å, intensity 2.4; 31.41 deg, 2.848 Å, intensity 100.0; 37.02 deg, 2.429 Å, intensity 5.7; 38.73 deg, 2.325 Å, intensity 10.6; 45.02 deg, 2.014 Å, intensity 33.1; 49.32 deg, 1.848 Å, intensity 2.8; 50.69 deg, 1.801 Å, intensity 1.8; 55.92 deg, 1.644 Å, intensity 38.8; 59.65 deg, 1.550 Å, intensity 1.8; 65.56 deg, 1.424 Å, intensity 19.7; 68.98 deg, 1.361 Å, intensity 1.8

***

[7]
Theoretical X-ray powder pattern
Compound: NaEuMo2O8
Radiation: a wavelength of 1.5418 Å
Structure: a structure optimized by DFT (GGA+U)
Neutral-atom scattering factors, no anomalous dispersion.

Structural model:
```
data_NaEuMo2O8
_chemical_formula_sum 'Na2 Eu2 Mo4 O16'
_cell_length_a 7.541
_cell_length_b 11.501
_cell_length_c 5.288
_cell_angle_alpha 90.00
_cell_angle_beta 134.36
_cell_angle_gamma 90.00
_space_group_name_H-M_alt 'C 1 2 1'
_space_group_IT_number 5
loop_
_space_group_symop_operation_xyz
'x,y,z'
'-x,y,-z'
'x+1/2,y+1/2,z'
'-x+1/2,y+1/2,-z'
loop_
_atom_site_label
_atom_site_type_symbol
_atom_site_fract_x
_atom_site_fract_y
_atom_site_fract_z
Na1 Na 0.000 0.000 0.000
Eu1 Eu 0.000 0.248 0.500
Mo1 Mo 0.000 0.500 0.000
Mo2 Mo 0.000 0.749 0.500
O1 O 0.142 0.411 0.381
O2 O 0.153 0.833 0.895
O3 O 0.238 0.588 0.086
O4 O 0.238 0.665 0.577
```

Main lines, in order of rising 2θ (5° ≤ 2θ ≤ 70°):
15.41 deg, 5.751 Å, intensity 12.5; 18.17 deg, 4.882 Å, intensity 9.3; 18.47 deg, 4.805 Å, intensity 9.4; 23.56 deg, 3.775 Å, intensity 8.8; 28.28 deg, 3.156 Å, intensity 100.0; 31.10 deg, 2.875 Å, intensity 12.1; 33.23 deg, 2.696 Å, intensity 9.6; 33.90 deg, 2.644 Å, intensity 8.6; 46.16 deg, 1.967 Å, intensity 15.6; 46.67 deg, 1.946 Å, intensity 15.4; 53.62 deg, 1.709 Å, intensity 15.6; 57.27 deg, 1.609 Å, intensity 12.8

***

[8]
Theoretical X-ray powder pattern
Compound: NaEuMo2O8
Radiation: a wavelength of 1.5418 Å
Structure: a structure optimized by DFT (GGA+U)
Neutral-atom scattering factors, no anomalous dispersion.

Structural model:
```
data_NaEuMo2O8
_chemical_formula_sum 'Na2 Eu2 Mo4 O16'
_cell_length_a 5.347
_cell_length_b 5.347
_cell_length_c 11.639
_cell_angle_alpha 90.00
_cell_angle_beta 90.00
_cell_angle_gamma 90.00
_space_group_name_H-M_alt 'I -4'
_space_group_IT_number 82
loop_
_space_group_symop_operation_xyz
'x,y,z'
'y,-x,-z'
'-x,-y,z'
'-y,x,-z'
'x+1/2,y+1/2,z+1/2'
'y+1/2,-x+1/2,-z+1/2'
'-x+1/2,-y+1/2,z+1/2'
'-y+1/2,x+1/2,-z+1/2'
loop_
_atom_site_label
_atom_site_type_symbol
_atom_site_fract_x
_atom_site_fract_y
_atom_site_fract_z
Na1 Na 0.000 0.000 0.000
Eu1 Eu 0.000 0.500 0.750
Mo1 Mo 0.000 0.000 0.500
Mo2 Mo 0.000 0.500 0.250
O1 O 0.146 0.760 0.586
O2 O 0.158 0.262 0.167
```

Main lines, in order of rising 2θ (5° ≤ 2θ ≤ 70°):
15.23 deg, 5.819 Å, intensity 12.5; 18.26 deg, 4.859 Å, intensity 18.7; 23.53 deg, 3.781 Å, intensity 8.9; 28.15 deg, 3.171 Å, intensity 100.0; 30.73 deg, 2.910 Å, intensity 12.7; 33.52 deg, 2.674 Å, intensity 18.0; 39.06 deg, 2.306 Å, intensity 7.2; 46.11 deg, 1.969 Å, intensity 30.9; 48.13 deg, 1.890 Å, intensity 13.4; 53.06 deg, 1.726 Å, intensity 15.9; 56.69 deg, 1.624 Å, intensity 26.0; 58.19 deg, 1.585 Å, intensity 11.9